1.
This entry pairs a crystal structure of Er6PdSe5 with its theoretical powder diffractogram. Radiation: a wavelength of 1.5418 Å. Structure: a GGA-PBE-relaxed structure.
Kinematic intensities with the Lorentz-polarization factor, no thermal factor.

Unit cell a=7.044 b=7.044 c=7.012 alpha=99.73 beta=99.73 gamma=120.07
Sites, in units of the cell vectors:
Er  0.078  0.403  0.240
Er  0.242  0.242  0.753
Er  0.403  0.078  0.240
Er  0.597  0.922  0.760
Er  0.758  0.758  0.247
Er  0.922  0.597  0.760
Pd  0.000  0.000  0.000
Se  0.174  0.826  0.500
Se  0.335  0.665  0.000
Se  0.500  0.500  0.500
Se  0.665  0.335  0.000
Se  0.826  0.174  0.500

Largest 10 diffraction maxima, in order of rising 2θ, 10 to 90 degrees two-theta:
Position (°2θ)	I/Imax
26.85	10.0
26.98	9.7
31.18	100.0
44.58	36.9
44.72	24.5
44.87	12.0
55.34	12.9
73.69	10.9
73.84	10.8
82.14	12.2

=====

2.
This entry pairs a crystal structure of Er2Si6Pd21 with its theoretical powder diffractogram. Radiation: a wavelength of 1.5418 Å. Structure: a GGA-PBE-relaxed structure.
Kinematic intensities with the Lorentz-polarization factor, no thermal factor.

Unit cell a=8.648 b=8.648 c=8.648 alpha=60.00 beta=60.00 gamma=60.00
Sites, in units of the cell vectors:
Er  0.250  0.250  0.250
Er  0.750  0.750  0.750
Si  0.234  0.234  0.766
Si  0.234  0.766  0.234
Si  0.234  0.766  0.766
Si  0.766  0.234  0.234
Si  0.766  0.234  0.766
Si  0.766  0.766  0.234
Pd  0.117  0.117  0.117
Pd  0.117  0.117  0.650
Pd  0.117  0.650  0.117
Pd  0.156  0.500  0.500
Pd  0.156  0.500  0.844
Pd  0.156  0.844  0.500
Pd  0.350  0.883  0.883
Pd  0.500  0.156  0.500
Pd  0.500  0.156  0.844
Pd  0.500  0.500  0.156
Pd  0.500  0.500  0.500
Pd  0.500  0.500  0.844
Pd  0.500  0.844  0.156
Pd  0.500  0.844  0.500
Pd  0.650  0.117  0.117
Pd  0.844  0.156  0.500
Pd  0.844  0.500  0.156
Pd  0.844  0.500  0.500
Pd  0.883  0.350  0.883
Pd  0.883  0.883  0.350
Pd  0.883  0.883  0.883

Largest 10 diffraction maxima, in order of rising 2θ, 10 to 90 degrees two-theta:
Position (°2θ)	I/Imax
32.75	31.3
35.98	35.4
38.24	100.0
41.78	33.4
43.79	29.2
49.44	15.7
62.64	10.1
64.67	29.9
66.18	14.1
76.29	21.9